Record 1
Calculated powder X-ray diffraction pattern of YPd for CuKα, from a DFT-relaxed cell (PBE, the Materials Project).
Neutral-atom scattering factors, no anomalous dispersion.

Cell and atoms:
Unit cell a=5.6169 b=5.6169 c=4.6243 alpha=90.00 beta=90.00 gamma=141.50
Atoms (fractional coordinates):
Y: 0.1368 0.8632 0.7500
Y: 0.8632 0.1368 0.2500
Pd: 0.4145 0.5855 0.7500
Pd: 0.5855 0.4145 0.2500

Principal peaks in the range 5 to 70 degrees two-theta, by angle:
| d_spacing | I (rel.) |
| --- | --- |
| 5.303 | 12 |
| 2.789 | 100 |
| 2.651 | 30 |
| 2.557 | 13 |
| 2.312 | 37 |
| 2.300 | 26 |
| 2.238 | 84 |
| 1.852 | 19 |
| 1.743 | 17 |
| 1.445 | 16 |

---

Record 2
Calculated powder X-ray diffraction pattern of Y3Pd4 for CuKα, from a DFT-relaxed cell (PBE, the Materials Project).
Neutral-atom scattering factors, no anomalous dispersion.

Cell and atoms:
Unit cell a=7.9090 b=7.9090 c=7.9090 alpha=114.26 beta=114.26 gamma=114.26
Atoms (fractional coordinates):
Y: 0.0245 0.2752 0.4044
Y: 0.2752 0.4044 0.0245
Y: 0.4044 0.0245 0.2752
Y: 0.5956 0.9755 0.7248
Y: 0.7248 0.5956 0.9755
Y: 0.9755 0.7248 0.5956
Pd: 0.0000 0.0000 0.0000
Pd: 0.0633 0.5514 0.2292
Pd: 0.2292 0.0633 0.5514
Pd: 0.4486 0.7708 0.9367
Pd: 0.5000 0.5000 0.5000
Pd: 0.5514 0.2292 0.0633
Pd: 0.7708 0.9367 0.4486
Pd: 0.9367 0.4486 0.7708

Principal peaks in the range 5 to 70 degrees two-theta, by angle:
| d_spacing | I (rel.) |
| --- | --- |
| 2.794 | 22 |
| 2.583 | 13 |
| 2.511 | 100 |
| 2.408 | 77 |
| 2.401 | 18 |
| 2.142 | 18 |
| 1.948 | 13 |
| 1.798 | 11 |
| 1.738 | 17 |
| 1.428 | 21 |

---

Record 3
Calculated powder X-ray diffraction pattern of YZnPd2 for CuKα, from a DFT-relaxed cell (PBE, the Materials Project).
Neutral-atom scattering factors, no anomalous dispersion.

Cell and atoms:
Unit cell a=4.6965 b=4.6965 c=4.6965 alpha=60.00 beta=60.00 gamma=60.00
Atoms (fractional coordinates):
Y: 0.0000 0.0000 0.0000
Zn: 0.5000 0.5000 0.5000
Pd: 0.2500 0.2500 0.2500
Pd: 0.7500 0.7500 0.7500

Principal peaks in the range 5 to 70 degrees two-theta, by angle:
| d_spacing | I (rel.) |
| --- | --- |
| 3.835 | 1 |
| 3.321 | 3 |
| 2.348 | 100 |
| 1.917 | 1 |
| 1.660 | 17 |
| 1.485 | 1 |
| 1.356 | 33 |

---

Record 4
Calculated powder X-ray diffraction pattern of Zn5Pd3 for CuKα, from a DFT-relaxed cell (PBE, the Materials Project).
Neutral-atom scattering factors, no anomalous dispersion.

Cell and atoms:
Unit cell a=3.0734 b=3.0734 c=12.2881 alpha=90.00 beta=90.00 gamma=90.00
Atoms (fractional coordinates):
Zn: 0.0000 0.0000 0.0000
Zn: 0.5000 0.5000 0.1249
Zn: 0.5000 0.5000 0.3748
Zn: 0.5000 0.5000 0.6252
Zn: 0.5000 0.5000 0.8751
Pd: 0.0000 0.0000 0.2500
Pd: 0.0000 0.0000 0.5000
Pd: 0.0000 0.0000 0.7500

Principal peaks in the range 5 to 70 degrees two-theta, by angle:
| d_spacing | I (rel.) |
| --- | --- |
| 12.288 | 3 |
| 6.144 | 1 |
| 3.073 | 4 |
| 2.173 | 100 |
| 1.774 | 1 |
| 1.536 | 16 |
| 1.374 | 1 |

---

Record 5
Calculated powder X-ray diffraction pattern of ZnPd4 for CuKα, from a DFT-relaxed cell (PBE, the Materials Project).
Neutral-atom scattering factors, no anomalous dispersion.

Cell and atoms:
Unit cell a=11.0797 b=11.0797 c=11.0797 alpha=14.66 beta=14.66 gamma=14.66
Atoms (fractional coordinates):
Zn: 0.0000 0.0000 0.0000
Pd: 0.2012 0.2012 0.2012
Pd: 0.3956 0.3956 0.3956
Pd: 0.6044 0.6044 0.6044
Pd: 0.7988 0.7988 0.7988

Principal peaks in the range 5 to 70 degrees two-theta, by angle:
| d_spacing | I (rel.) |
| --- | --- |
| 10.959 | 2 |
| 2.740 | 3 |
| 2.422 | 1 |
| 2.295 | 100 |
| 2.192 | 27 |
| 2.171 | 2 |
| 1.964 | 61 |
| 1.518 | 3 |
| 1.414 | 21 |
| 1.365 | 16 |

---

Record 6
Calculated powder X-ray diffraction pattern of ZnPd for CuKα, from a DFT-relaxed cell (PBE, the Materials Project).
Neutral-atom scattering factors, no anomalous dispersion.

Cell and atoms:
Unit cell a=2.9145 b=2.9145 c=3.4177 alpha=90.00 beta=90.00 gamma=90.00
Atoms (fractional coordinates):
Zn: 0.0000 0.0000 0.0000
Pd: 0.5000 0.5000 0.5000

Principal peaks in the range 5 to 70 degrees two-theta, by angle:
| d_spacing | I (rel.) |
| --- | --- |
| 3.418 | 4 |
| 2.914 | 5 |
| 2.218 | 100 |
| 2.061 | 40 |
| 1.765 | 2 |
| 1.709 | 11 |
| 1.474 | 1 |
| 1.457 | 13 |

---

Record 7
Calculated powder X-ray diffraction pattern of Zr3Pd4 for CuKα, from a DFT-relaxed cell (PBE, the Materials Project).
Neutral-atom scattering factors, no anomalous dispersion.

Cell and atoms:
Unit cell a=7.5453 b=7.5453 c=7.5453 alpha=114.09 beta=114.09 gamma=114.09
Atoms (fractional coordinates):
Zr: 0.0047 0.3967 0.2654
Zr: 0.2654 0.0047 0.3967
Zr: 0.3967 0.2654 0.0047
Zr: 0.6033 0.7346 0.9953
Zr: 0.7346 0.9953 0.6033
Zr: 0.9953 0.6033 0.7346
Pd: 0.0000 0.0000 0.0000
Pd: 0.0773 0.2381 0.5594
Pd: 0.2381 0.5594 0.0773
Pd: 0.4406 0.9227 0.7619
Pd: 0.5000 0.5000 0.5000
Pd: 0.5594 0.0773 0.2381
Pd: 0.7619 0.4406 0.9227
Pd: 0.9227 0.7619 0.4406

Principal peaks in the range 5 to 70 degrees two-theta, by angle:
| d_spacing | I (rel.) |
| --- | --- |
| 2.673 | 15 |
| 2.494 | 8 |
| 2.393 | 100 |
| 2.320 | 84 |
| 2.295 | 10 |
| 2.060 | 12 |
| 1.666 | 21 |
| 1.382 | 10 |
| 1.367 | 17 |
| 1.362 | 7 |

---

Record 8
Calculated powder X-ray diffraction pattern of ZrPd3 for CuKα, from a DFT-relaxed cell (PBE, the Materials Project).
Neutral-atom scattering factors, no anomalous dispersion.

Cell and atoms:
Unit cell a=5.7121 b=5.7121 c=9.3598 alpha=90.00 beta=90.00 gamma=120.00
Atoms (fractional coordinates):
Zr: 0.0000 0.0000 0.0000
Zr: 0.0000 0.0000 0.5000
Zr: 0.3333 0.6667 0.2500
Zr: 0.6667 0.3333 0.7500
Pd: 0.0000 0.5000 0.0000
Pd: 0.0000 0.5000 0.5000
Pd: 0.1697 0.3393 0.7500
Pd: 0.1697 0.8303 0.7500
Pd: 0.3393 0.1697 0.2500
Pd: 0.5000 0.0000 0.0000
Pd: 0.5000 0.0000 0.5000
Pd: 0.5000 0.5000 0.0000
Pd: 0.5000 0.5000 0.5000
Pd: 0.6607 0.8303 0.7500
Pd: 0.8303 0.1697 0.2500
Pd: 0.8303 0.6607 0.2500

Principal peaks in the range 5 to 70 degrees two-theta, by angle:
| d_spacing | I (rel.) |
| --- | --- |
| 2.473 | 8 |
| 2.391 | 43 |
| 2.340 | 36 |
| 2.187 | 100 |
| 1.938 | 23 |
| 1.700 | 5 |
| 1.493 | 10 |
| 1.428 | 22 |